1.
Simulated PXRD pattern of Li2Ti2FeO6 for a wavelength of 1.5418 Å, from DFT lattice parameters and positions (PBE+U).
Intensities are scaled so that the largest is 100.

The 8 most intense peaks (2θ from 5° to 70°), most intense first:
d [Å]	Position (°2θ)	I_rel
5.205	17.03	100
2.086	43.38	32
2.532	35.46	28
1.628	56.54	18
1.481	62.72	15
1.834	49.73	15
2.314	38.92	14
2.333	38.59	10

a b c (Å): 5.221 5.221 10.410
angles (deg): 90.00 90.00 59.32
Fractional coordinates of all 22 atoms:
Li1 0.174 0.326 0.250
Li2 0.326 0.174 0.750
Li3 0.674 0.826 0.250
Li4 0.826 0.674 0.750
Ti1 0.160 0.160 0.000
Ti2 0.340 0.340 0.500
Ti3 0.660 0.660 0.500
Ti4 0.840 0.840 0.000
Fe1 0.000 0.000 0.500
Fe2 0.500 0.500 0.000
O1 0.002 0.366 0.607
O2 0.134 0.498 0.893
O3 0.143 0.857 0.100
O4 0.357 0.643 0.600
O5 0.366 0.002 0.393
O6 0.498 0.134 0.107
O7 0.502 0.866 0.893
O8 0.634 0.998 0.607
O9 0.643 0.357 0.400
O10 0.857 0.143 0.900
O11 0.866 0.502 0.107
O12 0.998 0.634 0.393

=====

2.
Simulated PXRD pattern of Na2MoO4 for a wavelength of 1.5418 Å, from DFT lattice parameters and positions (PBE+U).
Intensities are scaled so that the largest is 100.

The 8 most intense peaks (2θ from 5° to 70°), most intense first:
d [Å]	Position (°2θ)	I_rel
4.225	21.02	100
3.054	29.24	53
3.037	29.41	29
3.686	24.15	25
2.941	30.39	25
4.335	20.49	23
5.360	16.54	22
2.113	42.80	21

a b c (Å): 7.372 6.114 6.114
angles (deg): 122.50 90.00 90.00
Fractional coordinates of all 14 atoms:
Na1 0.000 0.000 0.000
Na2 0.250 0.596 0.282
Na3 0.500 0.000 0.000
Na4 0.750 0.282 0.596
Mo1 0.250 0.306 0.681
Mo2 0.750 0.681 0.306
O1 0.053 0.207 0.479
O2 0.250 0.146 0.859
O3 0.250 0.654 0.903
O4 0.447 0.207 0.479
O5 0.553 0.479 0.207
O6 0.750 0.859 0.146
O7 0.750 0.903 0.654
O8 0.947 0.479 0.207

=====

3.
Simulated PXRD pattern of Rb2TlNiF6 for a wavelength of 1.5418 Å, from DFT lattice parameters and positions (PBE+U).
Intensities are scaled so that the largest is 100.

The 8 most intense peaks (2θ from 5° to 70°), most intense first:
d [Å]	Position (°2θ)	I_rel
3.152	28.31	100
1.820	50.12	39
2.229	40.47	34
1.576	58.57	21
1.410	66.31	20
2.688	33.33	16
5.147	17.23	15
4.458	19.92	13

a b c (Å): 6.304 6.304 6.304
angles (deg): 60.00 60.00 60.00
Fractional coordinates of all 10 atoms:
Rb1 0.250 0.250 0.250
Rb2 0.750 0.750 0.750
Tl1 0.000 0.000 0.000
Ni1 0.500 0.500 0.500
F1 0.282 0.282 0.718
F2 0.282 0.718 0.282
F3 0.282 0.718 0.718
F4 0.718 0.282 0.282
F5 0.718 0.282 0.718
F6 0.718 0.718 0.282

=====

4.
Simulated PXRD pattern of Li4Nb3Cr2Fe3O16 for a wavelength of 1.5418 Å, from DFT lattice parameters and positions (PBE+U).
Intensities are scaled so that the largest is 100.

The 8 most intense peaks (2θ from 5° to 70°), most intense first:
d [Å]	Position (°2θ)	I_rel
4.885	18.16	100
4.707	18.85	60
1.530	60.51	47
2.572	34.89	38
2.541	35.32	30
4.611	19.25	26
2.562	35.02	25
2.650	33.83	22

a b c (Å): 6.118 6.121 9.773
angles (deg): 89.60 88.39 60.05
Fractional coordinates of all 28 atoms:
Li1 0.000 0.000 0.000
Li2 0.013 0.991 0.484
Li3 0.359 0.318 0.103
Li4 0.697 0.651 0.582
Nb1 0.209 0.645 0.773
Nb2 0.212 0.147 0.774
Nb3 0.378 0.817 0.275
Cr1 0.378 0.316 0.491
Cr2 0.720 0.638 0.011
Fe1 0.697 0.150 0.770
Fe2 0.860 0.816 0.273
Fe3 0.865 0.322 0.273
O1 0.047 0.988 0.179
O2 0.057 0.972 0.670
O3 0.073 0.465 0.652
O4 0.211 0.144 0.386
O5 0.221 0.647 0.388
O6 0.344 0.329 0.887
O7 0.366 0.816 0.880
O8 0.500 0.027 0.640
O9 0.503 0.471 0.643
O10 0.541 0.940 0.134
O11 0.553 0.507 0.142
O12 0.686 0.643 0.387
O13 0.704 0.156 0.387
O14 0.889 0.805 0.886
O15 0.891 0.306 0.886
O16 0.990 0.498 0.144

=====

5.
Simulated PXRD pattern of Li4Nb2Cr3Ni3O16 for a wavelength of 1.5418 Å, from DFT lattice parameters and positions (PBE+U).
Intensities are scaled so that the largest is 100.

The 8 most intense peaks (2θ from 5° to 70°), most intense first:
d [Å]	Position (°2θ)	I_rel
4.517	19.66	100
4.496	19.75	53
1.473	63.12	45
4.821	18.40	36
2.727	32.84	34
2.712	33.03	34
2.463	36.49	33
2.470	36.37	30

a b c (Å): 5.890 5.892 9.643
angles (deg): 89.56 89.53 60.03
Fractional coordinates of all 28 atoms:
Li1 0.000 0.000 0.000
Li2 0.001 0.001 0.505
Li3 0.332 0.331 0.096
Li4 0.661 0.661 0.596
Nb1 0.338 0.337 0.497
Nb2 0.668 0.668 0.996
Cr1 0.173 0.174 0.770
Cr2 0.343 0.832 0.276
Cr3 0.834 0.343 0.275
Ni1 0.168 0.657 0.781
Ni2 0.657 0.168 0.781
Ni3 0.828 0.828 0.282
O1 0.005 0.005 0.697
O2 0.007 0.007 0.191
O3 0.031 0.467 0.649
O4 0.167 0.166 0.395
O5 0.167 0.672 0.401
O6 0.321 0.321 0.883
O7 0.335 0.839 0.901
O8 0.467 0.031 0.649
O9 0.475 0.475 0.655
O10 0.513 0.962 0.155
O11 0.518 0.517 0.157
O12 0.656 0.655 0.388
O13 0.672 0.167 0.401
O14 0.836 0.836 0.902
O15 0.839 0.335 0.901
O16 0.963 0.512 0.155